Entry 1:
Diffraction record for VOF2. The powder diffraction line list is simulated, not measured: it uses a DFT-relaxed cell (GGA+U, the Materials Project) and CuKα.

Main lines, most intense first (10° ≤ 2θ ≤ 80°):
(1 1 -1), 3.748 Å, I = 100.0; (6 0 0), 3.791 Å, I = 47.5; (2 2 -2), 1.874 Å, I = 19.7; (5 1 1), 2.697 Å, I = 18.1; (11 1 1), 1.708 Å, I = 11.8; (4 2 2), 1.695 Å, I = 11.3; (12 0 0), 1.896 Å, I = 11.0; (3 1 -3), 1.700 Å, I = 8.5; (9 1 0), 2.274 Å, I = 8.1; (10 2 2), 1.349 Å, I = 7.3; (13 1 -1), 1.676 Å, I = 7.2; (7 1 -1), 2.635 Å, I = 7.0

Structural model:
```
data_VOF2
_cell_length_a 23.214
_cell_length_b 5.211
_cell_length_c 5.397
_cell_angle_alpha 90.00
_cell_angle_beta 101.51
_cell_angle_gamma 90.00
_symmetry_space_group_name_H-M 'C 1 2 1'
_symmetry_Int_Tables_number 5
_symmetry_space_group_name_Hall 'C 2y'
loop_
_atom_site_label
_atom_site_fract_x
_atom_site_fract_y
_atom_site_fract_z
V1 0.082 0.000 0.117
V2 0.085 0.492 0.613
V3 0.249 0.499 0.733
O1 0.072 0.813 0.355
O2 0.096 0.244 0.812
O3 0.239 0.252 0.527
F1 0.000 0.125 0.000
F2 0.000 0.434 0.500
F3 0.063 0.744 0.846
F4 0.101 0.319 0.310
F5 0.166 0.933 0.146
F6 0.167 0.617 0.677
F7 0.236 0.307 0.031
```


Entry 2:
Diffraction record for VOF3. The powder diffraction line list is simulated, not measured: it uses a DFT-relaxed cell (GGA+U, the Materials Project) and CuKα.

Main lines, most intense first (10° ≤ 2θ ≤ 80°):
(1 0 1), 4.747 Å, I = 100.0; (1 1 1), 3.681 Å, I = 94.6; (2 2 0), 2.062 Å, I = 62.2; (1 0 0), 5.831 Å, I = 57.8; (1 0 2), 3.347 Å, I = 53.1; (0 0 4), 2.044 Å, I = 28.4; (2 2 4), 1.451 Å, I = 25.4; (1 2 1), 2.484 Å, I = 15.6; (2 3 2), 1.504 Å, I = 15.0; (1 3 1), 1.799 Å, I = 14.6; (1 0 3), 2.469 Å, I = 13.6; (4 0 0), 1.458 Å, I = 13.5

Structural model:
```
data_VOF3
_cell_length_a 5.831
_cell_length_b 5.831
_cell_length_c 8.176
_cell_angle_alpha 90.00
_cell_angle_beta 90.00
_cell_angle_gamma 90.00
_symmetry_space_group_name_H-M 'P 41'
_symmetry_Int_Tables_number 76
_symmetry_space_group_name_Hall 'P 4w'
loop_
_atom_site_label
_atom_site_fract_x
_atom_site_fract_y
_atom_site_fract_z
V1 0.001 0.274 0.000
O1 0.022 0.769 0.703
F1 0.016 0.219 0.749
F2 0.224 0.534 0.460
F3 0.226 0.473 0.989
```


Entry 3:
Diffraction record for V2O3F. The powder diffraction line list is simulated, not measured: it uses a DFT-relaxed cell (GGA+U, the Materials Project) and CuKα.

Main lines, most intense first (10° ≤ 2θ ≤ 80°):
(2 0 0), 3.210 Å, I = 100.0; (1 1 4), 2.543 Å, I = 92.3; (0 2 0), 3.442 Å, I = 92.0; (3 1 4), 1.693 Å, I = 55.5; (1 3 4), 1.758 Å, I = 49.7; (3 3 4), 1.390 Å, I = 37.3; (0 2 4), 2.272 Å, I = 27.0; (2 0 4), 2.201 Å, I = 18.6; (0 0 8), 1.512 Å, I = 18.1; (4 0 0), 1.605 Å, I = 16.3; (0 4 0), 1.721 Å, I = 14.0; (2 0 8), 1.368 Å, I = 12.7

Structural model:
```
data_V2O3F
_cell_length_a 6.419
_cell_length_b 6.885
_cell_length_c 12.098
_cell_angle_alpha 90.00
_cell_angle_beta 90.00
_cell_angle_gamma 90.00
_symmetry_space_group_name_H-M 'C m c m'
_symmetry_Int_Tables_number 63
_symmetry_space_group_name_Hall '-C 2c 2'
loop_
_atom_site_label
_atom_site_fract_x
_atom_site_fract_y
_atom_site_fract_z
V1 0.000 0.000 0.000
V2 0.000 0.004 0.250
V3 0.000 0.456 0.125
O1 0.000 0.197 0.125
O2 0.192 0.500 0.000
O3 0.193 0.496 0.250
F1 0.000 0.200 0.625
```


Entry 4:
Diffraction record for VOF3. The powder diffraction line list is simulated, not measured: it uses a DFT-relaxed cell (GGA+U, the Materials Project) and CuKα.

Main lines, most intense first (10° ≤ 2θ ≤ 80°):
(0 0 2), 6.020 Å, I = 100.0; (0 1 2), 3.766 Å, I = 61.1; (1 1 0), 3.217 Å, I = 54.2; (1 1 -2), 3.203 Å, I = 40.3; (1 1 3), 2.243 Å, I = 29.4; (1 1 -5), 2.224 Å, I = 26.6; (1 0 -2), 4.282 Å, I = 25.9; (1 0 2), 3.042 Å, I = 19.5; (1 0 -4), 3.008 Å, I = 18.7; (1 2 -1), 2.137 Å, I = 17.5; (2 1 2), 1.718 Å, I = 16.6; (2 2 -2), 1.665 Å, I = 15.1

Structural model:
```
data_VOF3
_cell_length_a 4.602
_cell_length_b 4.827
_cell_length_c 12.840
_cell_angle_alpha 90.00
_cell_angle_beta 110.33
_cell_angle_gamma 90.00
_symmetry_space_group_name_H-M 'P 1 21/c 1'
_symmetry_Int_Tables_number 14
_symmetry_space_group_name_Hall '-P 2ybc'
loop_
_atom_site_label
_atom_site_fract_x
_atom_site_fract_y
_atom_site_fract_z
V1 0.208 0.200 0.181
O1 0.462 0.551 0.697
F1 0.066 0.092 0.295
F2 0.134 0.581 0.420
F3 0.297 0.072 0.589
```


Entry 5:
Diffraction record for V6O7F5. The powder diffraction line list is simulated, not measured: it uses a DFT-relaxed cell (GGA+U, the Materials Project) and CuKα.

Main lines, most intense first (10° ≤ 2θ ≤ 80°):
(0 2 0), 3.249 Å, I = 100.0; (2 0 -2), 3.415 Å, I = 100.0; (1 1 2), 2.579 Å, I = 97.6; (1 1 -4), 1.763 Å, I = 61.5; (1 3 2), 1.715 Å, I = 54.8; (1 3 -4), 1.399 Å, I = 41.8; (4 0 -1), 2.288 Å, I = 24.8; (2 2 1), 2.236 Å, I = 22.0; (4 0 2), 1.541 Å, I = 19.2; (4 0 -4), 1.708 Å, I = 18.1; (0 4 0), 1.625 Å, I = 17.3; (4 2 2), 1.392 Å, I = 12.8

Structural model:
```
data_V6O7F5
_cell_length_a 9.207
_cell_length_b 6.499
_cell_length_c 7.490
_cell_angle_alpha 90.00
_cell_angle_beta 113.68
_cell_angle_gamma 90.00
_symmetry_space_group_name_H-M 'C 1 2 1'
_symmetry_Int_Tables_number 5
_symmetry_space_group_name_Hall 'C 2y'
loop_
_atom_site_label
_atom_site_fract_x
_atom_site_fract_y
_atom_site_fract_z
V1 0.000 0.000 0.000
V2 0.000 0.030 0.500
V3 0.166 0.531 0.679
V4 0.187 0.533 0.157
O1 0.000 0.705 0.000
O2 0.159 0.232 0.666
O3 0.164 0.833 0.665
O4 0.226 0.026 0.034
F1 0.000 0.321 0.000
F2 0.073 0.530 0.369
F3 0.103 0.023 0.299
```


Entry 6:
Diffraction record for V2OF5. The powder diffraction line list is simulated, not measured: it uses a DFT-relaxed cell (GGA+U, the Materials Project) and CuKα.

Main lines, most intense first (10° ≤ 2θ ≤ 80°):
(1 0 0), 3.800 Å, I = 100.0; (-1 1 1), 3.740 Å, I = 52.9; (2 0 0), 1.900 Å, I = 22.2; (1 -1 1), 2.720 Å, I = 14.2; (1 -2 2), 1.719 Å, I = 13.0; (2 -1 1), 1.715 Å, I = 11.3; (-2 2 2), 1.870 Å, I = 10.3; (1 1 -2), 2.282 Å, I = 9.4; (2 1 -1), 1.682 Å, I = 8.2; (1 0 -2), 2.703 Å, I = 6.4; (-1 2 2), 1.704 Å, I = 6.0; (-2 1 3), 1.696 Å, I = 5.6

Structural model:
```
data_V2OF5
_cell_length_a 5.230
_cell_length_b 5.264
_cell_length_c 5.413
_cell_angle_alpha 90.96
_cell_angle_beta 118.41
_cell_angle_gamma 119.24
_symmetry_space_group_name_H-M 'P 1'
_symmetry_Int_Tables_number 1
_symmetry_space_group_name_Hall 'P 1'
loop_
_atom_site_label
_atom_site_fract_x
_atom_site_fract_y
_atom_site_fract_z
V1 0.000 0.000 0.000
V2 0.007 0.486 0.478
O1 0.067 0.330 0.254
F1 0.108 0.263 0.761
F2 0.495 0.845 0.740
F3 0.500 0.153 0.267
F4 0.893 0.740 0.244
F5 0.916 0.659 0.739
```